For ErAl8Ni3, a cell relaxed with PBE gives the simulated X-ray powder pattern in this record (Cu Kα (weighted mean of Kα1 and Kα2)).
No peak broadening, texture or thermal motion is included.

Structure:
Cell: 6.971 3.821 14.624 Å, 90.00 90.00 90.00°
Space group Amm2 (No. 38)
Symmetry-distinct sites (fractional):
Er (0.000, 0.000, 0.000) (multiplicity 2)
Al (0.000, 0.000, 0.198) (multiplicity 2)
Al (0.200, 0.000, 0.805) (multiplicity 4)
Al (0.283, 0.000, 0.630) (multiplicity 4)
Al (0.309, 0.000, 0.432) (multiplicity 4)
Al (0.500, 0.000, 0.046) (multiplicity 2)
Ni (0.000, 0.000, 0.359) (multiplicity 2)
Ni (0.500, 0.000, 0.218) (multiplicity 2)
Ni (0.500, 0.000, 0.882) (multiplicity 2)

Most intense lines, 2θ from 10° to 90°, low angle first:
2θ (°)	I/Imax	hkl
12.10	51	0 0 2
17.58	51	1 0 2
32.43	84	1 1 3
35.40	100	2 1 1
38.77	50	0 1 5
40.96	49	1 1 5